Simulated X-ray diffraction stick pattern of Cs2Ag2MoS4 for Cu Kα X-rays, from DFT lattice parameters and positions (PBE).

Peak list (10 most intense, 10° ≤ 2θ ≤ 90°, most intense first)
27.99 deg, I = 1000; 31.58 deg, I = 653; 31.73 deg, I = 638; 21.30 deg, I = 564; 41.32 deg, I = 492; 25.49 deg, I = 435; 49.18 deg, I = 307; 48.91 deg, I = 292; 49.02 deg, I = 287; 38.21 deg, I = 213

Structural model:
```
Cs2Ag2MoS4
1.0
3.099 -6.990 0.000
3.099 6.990 0.000
0.000 0.000 6.163
Cs Ag Mo S
2 2 1 4
direct
0.000 0.500 0.237
0.500 0.000 0.763
0.000 0.000 0.000
0.500 0.500 0.500
0.000 0.000 0.500
0.118 0.315 0.716
0.315 0.118 0.284
0.685 0.882 0.284
0.882 0.685 0.716
```


Simulated X-ray diffraction stick pattern of CsNa3Ag2P2 for Cu Kα X-rays, from DFT lattice parameters and positions (PBE).

Peak list (10 most intense, 10° ≤ 2θ ≤ 90°, most intense first)
14.79 deg, I = 1000; 34.75 deg, I = 593; 31.13 deg, I = 475; 39.41 deg, I = 365; 36.45 deg, I = 346; 15.35 deg, I = 343; 18.72 deg, I = 342; 30.28 deg, I = 297; 36.87 deg, I = 290; 28.40 deg, I = 268

Structural model:
```
CsNa3Ag2P2
1.0
5.934 0.000 0.000
0.000 5.773 0.000
-1.422 0.000 5.989
Cs Na Ag P
1 3 2 2
direct
0.000 0.000 0.000
0.082 0.500 0.387
0.359 0.000 0.658
0.702 0.500 0.686
0.541 0.255 0.178
0.541 0.745 0.178
0.297 0.500 0.886
0.765 0.000 0.466
```


Simulated X-ray diffraction stick pattern of Cs3NaAg2P2 for Cu Kα X-rays, from DFT lattice parameters and positions (PBE).

Peak list (10 most intense, 10° ≤ 2θ ≤ 90°, most intense first)
25.87 deg, I = 1000; 33.79 deg, I = 833; 27.19 deg, I = 733; 32.07 deg, I = 545; 31.67 deg, I = 542; 28.05 deg, I = 523; 30.90 deg, I = 494; 52.24 deg, I = 447; 20.04 deg, I = 422; 13.86 deg, I = 337

Structural model:
```
Cs3NaAg2P2
1.0
6.566 0.000 0.000
0.000 6.148 0.000
-1.579 0.000 6.662
Cs Na Ag P
3 1 2 2
direct
0.000 0.000 0.000
0.283 0.500 0.289
0.609 0.500 0.923
0.274 0.000 0.584
0.822 0.253 0.491
0.822 0.747 0.491
0.071 0.500 0.712
0.562 0.000 0.303
```


Simulated X-ray diffraction stick pattern of CsRbNbAg2Te4 for Cu Kα X-rays, from DFT lattice parameters and positions (PBE).

Peak list (10 most intense, 10° ≤ 2θ ≤ 90°, most intense first)
25.94 deg, I = 1000; 26.20 deg, I = 969; 38.88 deg, I = 768; 29.77 deg, I = 442; 45.30 deg, I = 347; 47.57 deg, I = 345; 11.65 deg, I = 324; 36.25 deg, I = 271; 47.13 deg, I = 194; 47.40 deg, I = 182

Structural model:
```
CsRbNbAg2Te4
1.0
6.563 0.000 0.000
0.000 6.539 0.000
-3.179 0.000 7.596
Cs Rb Nb Ag Te
1 1 1 2 4
direct
0.000 0.000 0.000
0.500 0.486 0.000
0.500 0.740 0.500
0.000 0.742 0.500
0.500 0.241 0.500
0.161 0.506 0.286
0.371 0.974 0.715
0.629 0.974 0.285
0.839 0.506 0.714
```